Entry 1:
Diffraction record for Al2Zn2S5. The X-ray powder pattern is simulated, not measured: it uses a cell relaxed with GGA-PBE and Cu Kα.
Intensities are scaled so that the largest is 100.

```
Al2Zn2S5
1.0
3.671 0.000 0.000
-1.835 3.179 0.000
0.000 0.000 15.159
Al Zn S
2 2 5
Direct
0.333 0.667 0.173
0.667 0.333 0.827
0.333 0.667 0.599
0.667 0.333 0.401
0.000 0.000 0.500
0.333 0.667 0.316
0.333 0.667 0.892
0.667 0.333 0.108
0.667 0.333 0.684
```

Principal peaks in the range 2θ from 10° to 90°, in order of rising 2θ:
23.5°, 3.790 Å, intensity 29.8; 28.1°, 3.179 Å, intensity 35.4; 30.5°, 2.931 Å, intensity 15.6; 33.3°, 2.691 Å, intensity 100.0; 36.9°, 2.435 Å, intensity 41.5; 49.7°, 1.835 Å, intensity 49.8; 51.0°, 1.790 Å, intensity 56.3; 61.1°, 1.516 Å, intensity 19.8; 74.0°, 1.281 Å, intensity 17.7; 82.5°, 1.169 Å, intensity 23.7

Entry 2:
Diffraction record for Al2ZnS4. The X-ray powder pattern is simulated, not measured: it uses a cell relaxed with GGA-PBE and Cu Kα.
Intensities are scaled so that the largest is 100.

```
Al2ZnS4
1.0
1.843 1.064 23.974
-1.843 1.064 23.974
0.000 -2.128 23.974
Al Zn S
4 2 8
Direct
0.000 0.000 0.000
0.116 0.116 0.116
0.283 0.283 0.283
0.834 0.834 0.834
0.396 0.396 0.396
0.564 0.564 0.564
0.053 0.053 0.053
0.346 0.346 0.346
0.433 0.433 0.433
0.513 0.513 0.513
0.600 0.600 0.600
0.802 0.802 0.802
0.887 0.887 0.887
0.969 0.969 0.969
```

Principal peaks in the range 2θ from 10° to 90°, in order of rising 2θ:
22.2°, 3.996 Å, intensity 89.9; 28.0°, 3.181 Å, intensity 73.0; 28.4°, 3.143 Å, intensity 45.6; 28.6°, 3.117 Å, intensity 34.1; 29.3°, 3.049 Å, intensity 40.7; 32.4°, 2.765 Å, intensity 37.4; 42.3°, 2.137 Å, intensity 50.8; 49.4°, 1.843 Å, intensity 100.0; 53.0°, 1.728 Å, intensity 38.3; 54.9°, 1.674 Å, intensity 41.6

Entry 3:
Diffraction record for Al2ZnS4. The X-ray powder pattern is simulated, not measured: it uses a cell relaxed with GGA-PBE and Cu Kα.
Intensities are scaled so that the largest is 100.

```
Al2ZnS4
1.0
1.848 1.067 12.194
-1.848 1.067 12.194
0.000 -2.134 12.194
Al Zn S
2 1 4
Direct
0.237 0.237 0.237
0.763 0.763 0.763
0.000 0.000 0.000
0.122 0.122 0.122
0.298 0.298 0.298
0.702 0.702 0.702
0.878 0.878 0.878
```

Principal peaks in the range 2θ from 10° to 90°, in order of rising 2θ:
21.9°, 4.065 Å, intensity 89.1; 28.0°, 3.188 Å, intensity 85.4; 29.6°, 3.021 Å, intensity 43.3; 32.8°, 2.729 Å, intensity 100.0; 34.2°, 2.622 Å, intensity 78.5; 37.3°, 2.409 Å, intensity 44.3; 49.0°, 1.860 Å, intensity 36.8; 49.3°, 1.848 Å, intensity 98.7; 51.2°, 1.786 Å, intensity 79.6; 54.6°, 1.682 Å, intensity 39.8

Entry 4:
Diffraction record for Al2ZnS4. The X-ray powder pattern is simulated, not measured: it uses a cell relaxed with GGA-PBE and Cu Kα.
Intensities are scaled so that the largest is 100.

```
Al2ZnS4
1.0
3.685 0.000 0.000
-1.842 3.191 0.000
0.000 0.000 11.953
Al Zn S
2 1 4
Direct
0.000 0.000 0.000
0.333 0.667 0.306
0.667 0.333 0.688
0.333 0.667 0.117
0.333 0.667 0.627
0.667 0.333 0.380
0.667 0.333 0.905
```

Principal peaks in the range 2θ from 10° to 90°, in order of rising 2θ:
22.3°, 3.984 Å, intensity 76.5; 28.0°, 3.191 Å, intensity 65.9; 29.0°, 3.083 Å, intensity 100.0; 29.9°, 2.988 Å, intensity 25.1; 31.8°, 2.815 Å, intensity 64.2; 41.4°, 2.181 Å, intensity 95.6; 49.5°, 1.842 Å, intensity 86.2; 54.3°, 1.690 Å, intensity 50.3; 54.9°, 1.672 Å, intensity 35.5; 87.1°, 1.119 Å, intensity 30.3

Entry 5:
Diffraction record for Al2ZnS4. The X-ray powder pattern is simulated, not measured: it uses a cell relaxed with GGA-PBE and Cu Kα.
Intensities are scaled so that the largest is 100.

```
Al2ZnS4
1.0
7.400 0.000 0.000
0.000 26.388 0.000
0.000 0.000 6.160
Al Zn S
16 8 32
Direct
0.249 0.085 0.000
0.249 0.165 0.500
0.249 0.335 0.000
0.249 0.585 0.000
0.251 0.415 0.500
0.251 0.665 0.500
0.251 0.835 0.000
0.251 0.915 0.500
0.749 0.415 0.500
0.749 0.665 0.500
0.749 0.835 0.000
0.749 0.915 0.500
0.751 0.085 0.000
0.751 0.165 0.500
0.751 0.335 0.000
0.751 0.585 0.000
0.000 0.043 0.498
0.000 0.207 0.997
0.000 0.457 0.998
0.000 0.708 0.999
0.500 0.292 0.499
0.500 0.543 0.498
0.500 0.793 0.497
0.500 0.957 0.998
0.000 0.041 0.113
0.000 0.209 0.612
0.000 0.292 0.121
0.000 0.457 0.614
0.000 0.542 0.121
0.000 0.708 0.615
0.000 0.793 0.122
0.000 0.957 0.622
0.240 0.834 0.629
0.240 0.916 0.129
0.242 0.334 0.629
0.242 0.585 0.629
0.258 0.415 0.129
0.258 0.666 0.129
0.260 0.084 0.629
0.260 0.166 0.129
0.500 0.043 0.122
0.500 0.207 0.622
0.500 0.292 0.115
0.500 0.458 0.621
0.500 0.543 0.114
0.500 0.708 0.621
0.500 0.791 0.112
0.500 0.959 0.613
0.740 0.084 0.629
0.740 0.166 0.129
0.742 0.415 0.129
0.742 0.666 0.129
0.758 0.334 0.629
0.758 0.585 0.629
0.760 0.834 0.629
0.760 0.916 0.129
```

Principal peaks in the range 2θ from 10° to 90°, in order of rising 2θ:
27.0°, 3.298 Å, intensity 50.8; 27.6°, 3.227 Å, intensity 100.0; 29.0°, 3.080 Å, intensity 87.0; 31.3°, 2.859 Å, intensity 60.5; 40.5°, 2.228 Å, intensity 32.9; 48.1°, 1.890 Å, intensity 75.4; 49.3°, 1.850 Å, intensity 35.0; 52.5°, 1.743 Å, intensity 36.7; 52.9°, 1.732 Å, intensity 72.4; 57.2°, 1.612 Å, intensity 54.1

Entry 6:
Diffraction record for Al2ZnS4. The X-ray powder pattern is simulated, not measured: it uses a cell relaxed with GGA-PBE and Cu Kα.
Intensities are scaled so that the largest is 100.

```
Al2ZnS4
1.0
3.696 0.000 0.000
-1.848 3.201 0.000
0.000 0.000 23.806
Al Zn S
4 2 8
Direct
0.333 0.667 0.000
0.333 0.667 0.346
0.667 0.333 0.500
0.667 0.333 0.846
0.000 0.000 0.190
0.000 0.000 0.690
0.000 0.000 0.037
0.000 0.000 0.298
0.000 0.000 0.537
0.000 0.000 0.798
0.333 0.667 0.159
0.333 0.667 0.905
0.667 0.333 0.405
0.667 0.333 0.659
```

Principal peaks in the range 2θ from 10° to 90°, in order of rising 2θ:
22.4°, 3.968 Å, intensity 85.8; 27.9°, 3.201 Å, intensity 48.6; 28.1°, 3.172 Å, intensity 51.7; 28.9°, 3.091 Å, intensity 96.5; 30.0°, 2.974 Å, intensity 35.5; 31.7°, 2.819 Å, intensity 35.6; 41.4°, 2.179 Å, intensity 77.2; 49.3°, 1.848 Å, intensity 100.0; 54.4°, 1.686 Å, intensity 44.1; 54.8°, 1.675 Å, intensity 40.7